(1)
Structure and theoretical X-ray powder pattern of SmHoHg4 (the PBE geometry in OQMD; λ = 1.5418 Å (Cu Kα)).
Intensities are scaled so that the largest is 100.

Top 10 peaks for 2θ = 5–70°, sorted by position:
| Position (°2θ) | I/Imax |
| --- | --- |
| 26.1 | 15 |
| 33.5 | 100 |
| 36.2 | 99 |
| 45.2 | 21 |
| 50.2 | 32 |
| 53.7 | 11 |
| 63.4 | 22 |
| 63.5 | 11 |
| 65.2 | 12 |
| 66.5 | 35 |

Atomic structure:
Lattice parameters (Å, degrees): 3.416 4.953 8.599 90.00 90.01 90.00
Positions (direct):
1 Sm 0.000 0.000 0.000
2 Ho 0.000 0.500 0.500
3 Hg 0.497 0.000 0.665
4 Hg 0.498 0.500 0.169
5 Hg 0.502 0.500 0.831
6 Hg 0.503 0.000 0.335

***

(2)
Structure and theoretical X-ray powder pattern of SrHo2Hg3 (the PBE geometry in OQMD; λ = 1.5418 Å (Cu Kα)).
Intensities are scaled so that the largest is 100.

Top 10 peaks for 2θ = 5–70°, sorted by position:
| Position (°2θ) | I/Imax |
| --- | --- |
| 7.7 | 16 |
| 33.4 | 100 |
| 33.7 | 54 |
| 39.5 | 10 |
| 47.6 | 7 |
| 48.4 | 20 |
| 59.6 | 14 |
| 60.1 | 38 |
| 64.2 | 5 |
| 67.1 | 5 |

Atomic structure:
Lattice parameters (Å, degrees): 3.761 3.761 11.471 90.00 90.00 90.00
Positions (direct):
1 Sr 0.000 0.000 0.000
2 Ho 0.000 0.000 0.342
3 Ho 0.000 0.000 0.658
4 Hg 0.500 0.500 0.193
5 Hg 0.500 0.500 0.500
6 Hg 0.500 0.500 0.807

***

(3)
Structure and theoretical X-ray powder pattern of Y5Ho2Hg (the PBE geometry in OQMD; λ = 1.5418 Å (Cu Kα)).
Intensities are scaled so that the largest is 100.

Top 10 peaks for 2θ = 5–70°, sorted by position:
| Position (°2θ) | I/Imax |
| --- | --- |
| 14.5 | 8 |
| 21.6 | 7 |
| 29.2 | 25 |
| 32.3 | 24 |
| 33.4 | 100 |
| 44.1 | 16 |
| 51.7 | 20 |
| 58.3 | 20 |
| 62.3 | 22 |
| 63.0 | 16 |

Atomic structure:
Lattice parameters (Å, degrees): 5.545 7.079 12.241 90.00 90.00 90.00
Positions (direct):
1 Y 0.000 0.000 0.000
2 Y 0.000 0.245 0.747
3 Y 0.000 0.255 0.247
4 Y 0.000 0.500 0.500
5 Y 0.000 0.745 0.247
6 Y 0.000 0.755 0.747
7 Y 0.500 0.245 0.919
8 Y 0.500 0.255 0.419
9 Y 0.500 0.745 0.419
10 Y 0.500 0.755 0.919
11 Ho 0.000 0.000 0.504
12 Ho 0.000 0.500 0.004
13 Ho 0.500 0.000 0.162
14 Ho 0.500 0.500 0.662
15 Hg 0.500 0.000 0.666
16 Hg 0.500 0.500 0.166

***

(4)
Structure and theoretical X-ray powder pattern of YHoHg4 (the PBE geometry in OQMD; λ = 1.5418 Å (Cu Kα)).
Intensities are scaled so that the largest is 100.

Top 10 peaks for 2θ = 5–70°, sorted by position:
| Position (°2θ) | I/Imax |
| --- | --- |
| 20.8 | 7 |
| 26.2 | 21 |
| 33.7 | 95 |
| 36.5 | 100 |
| 45.5 | 30 |
| 50.5 | 31 |
| 53.9 | 11 |
| 63.9 | 30 |
| 65.6 | 18 |
| 66.9 | 35 |

Atomic structure:
Lattice parameters (Å, degrees): 3.400 4.928 8.536 90.00 90.02 90.00
Positions (direct):
1 Y 0.000 0.000 0.000
2 Ho 0.000 0.500 0.500
3 Hg 0.494 0.000 0.666
4 Hg 0.494 0.500 0.167
5 Hg 0.506 0.000 0.334
6 Hg 0.506 0.500 0.833

***

(5)
Structure and theoretical X-ray powder pattern of HgI2 (the PBE geometry in OQMD; λ = 1.5418 Å (Cu Kα)).
Intensities are scaled so that the largest is 100.

Top 10 peaks for 2θ = 5–70°, sorted by position:
| Position (°2θ) | I/Imax |
| --- | --- |
| 14.4 | 30 |
| 20.1 | 18 |
| 20.9 | 45 |
| 24.3 | 100 |
| 24.5 | 27 |
| 28.3 | 28 |
| 29.0 | 20 |
| 40.1 | 43 |
| 40.2 | 89 |
| 47.4 | 30 |

Atomic structure:
Lattice parameters (Å, degrees): 14.171 14.171 14.171 142.96 142.96 53.38
Positions (direct):
1 Hg 0.190 0.688 0.502
2 Hg 0.312 0.315 0.502
3 Hg 0.312 0.810 0.998
4 Hg 0.315 0.312 0.002
5 Hg 0.685 0.688 0.998
6 Hg 0.688 0.190 0.002
7 Hg 0.688 0.685 0.498
8 Hg 0.810 0.312 0.498
9 I 0.007 0.757 0.250
10 I 0.112 0.362 0.224
11 I 0.112 0.888 0.750
12 I 0.243 0.493 0.750
13 I 0.243 0.993 0.250
14 I 0.362 0.112 0.724
15 I 0.362 0.638 0.250
16 I 0.493 0.243 0.250
17 I 0.507 0.757 0.750
18 I 0.638 0.362 0.750
19 I 0.638 0.888 0.276
20 I 0.757 0.007 0.750
21 I 0.757 0.507 0.250
22 I 0.888 0.112 0.250
23 I 0.888 0.638 0.776
24 I 0.993 0.243 0.750

***

(6)
Structure and theoretical X-ray powder pattern of HgI2 (the PBE geometry in OQMD; λ = 1.5418 Å (Cu Kα)).
Intensities are scaled so that the largest is 100.

Top 10 peaks for 2θ = 5–70°, sorted by position:
| Position (°2θ) | I/Imax |
| --- | --- |
| 12.1 | 22 |
| 17.1 | 28 |
| 20.9 | 45 |
| 24.3 | 100 |
| 26.2 | 33 |
| 29.0 | 20 |
| 30.7 | 25 |
| 40.0 | 43 |
| 40.2 | 83 |
| 47.4 | 30 |

Atomic structure:
Lattice parameters (Å, degrees): 9.009 9.009 12.657 90.00 90.00 90.00
Positions (direct):
1 Hg 0.001 0.250 0.125
2 Hg 0.250 0.001 0.625
3 Hg 0.250 0.499 0.625
4 Hg 0.499 0.250 0.125
5 Hg 0.501 0.750 0.875
6 Hg 0.750 0.501 0.375
7 Hg 0.750 0.999 0.375
8 Hg 0.999 0.750 0.875
9 I 0.013 0.513 0.250
10 I 0.013 0.987 0.250
11 I 0.250 0.250 0.485
12 I 0.250 0.250 0.985
13 I 0.250 0.750 0.013
14 I 0.250 0.750 0.487
15 I 0.487 0.513 0.250
16 I 0.487 0.987 0.250
17 I 0.513 0.013 0.750
18 I 0.513 0.487 0.750
19 I 0.750 0.250 0.513
20 I 0.750 0.250 0.987
21 I 0.750 0.750 0.015
22 I 0.750 0.750 0.515
23 I 0.987 0.013 0.750
24 I 0.987 0.487 0.750

***

(7)
Structure and theoretical X-ray powder pattern of HgI2 (the PBE geometry in OQMD; λ = 1.5418 Å (Cu Kα)).
Intensities are scaled so that the largest is 100.

Top 10 peaks for 2θ = 5–70°, sorted by position:
| Position (°2θ) | I/Imax |
| --- | --- |
| 12.0 | 18 |
| 18.8 | 34 |
| 23.2 | 18 |
| 23.4 | 26 |
| 24.2 | 79 |
| 27.4 | 18 |
| 30.6 | 20 |
| 40.1 | 100 |
| 47.4 | 23 |
| 63.8 | 13 |

Atomic structure:
Lattice parameters (Å, degrees): 15.598 15.598 15.598 131.92 131.92 70.36
Positions (direct):
1 Hg 0.063 0.064 0.252
2 Hg 0.064 0.312 0.000
3 Hg 0.188 0.436 0.500
4 Hg 0.188 0.937 0.500
5 Hg 0.312 0.812 0.248
6 Hg 0.312 0.812 0.748
7 Hg 0.436 0.437 0.248
8 Hg 0.437 0.688 0.000
9 Hg 0.563 0.312 0.000
10 Hg 0.564 0.563 0.752
11 Hg 0.688 0.188 0.252
12 Hg 0.688 0.188 0.752
13 Hg 0.812 0.063 0.500
14 Hg 0.812 0.564 0.500
15 Hg 0.936 0.688 0.000
16 Hg 0.937 0.936 0.748
17 I 0.007 0.257 0.750
18 I 0.014 0.750 0.764
19 I 0.112 0.624 0.486
20 I 0.124 0.612 0.986
21 I 0.126 0.138 0.514
22 I 0.138 0.124 0.012
23 I 0.243 0.493 0.750
24 I 0.250 0.014 0.764
25 I 0.250 0.514 0.264
26 I 0.257 0.007 0.250
27 I 0.362 0.374 0.986
28 I 0.374 0.888 0.012
29 I 0.376 0.362 0.488
30 I 0.388 0.874 0.512
31 I 0.486 0.250 0.736
32 I 0.493 0.243 0.250
33 I 0.507 0.757 0.750
34 I 0.514 0.750 0.264
35 I 0.612 0.126 0.488
36 I 0.624 0.638 0.512
37 I 0.626 0.112 0.988
38 I 0.638 0.626 0.014
39 I 0.743 0.993 0.750
40 I 0.750 0.486 0.736
41 I 0.750 0.986 0.236
42 I 0.757 0.507 0.250
43 I 0.862 0.876 0.988
44 I 0.874 0.862 0.486
45 I 0.876 0.388 0.014
46 I 0.888 0.376 0.514
47 I 0.986 0.250 0.236
48 I 0.993 0.743 0.250

***

(8)
Structure and theoretical X-ray powder pattern of HgI2 (the PBE geometry in OQMD; λ = 1.5418 Å (Cu Kα)).
Intensities are scaled so that the largest is 100.

Top 10 peaks for 2θ = 5–70°, sorted by position:
| Position (°2θ) | I/Imax |
| --- | --- |
| 9.8 | 100 |
| 17.1 | 38 |
| 24.3 | 89 |
| 26.2 | 27 |
| 29.8 | 15 |
| 36.0 | 28 |
| 38.8 | 14 |
| 40.2 | 68 |
| 47.5 | 42 |
| 63.9 | 16 |

Atomic structure:
Lattice parameters (Å, degrees): 11.003 11.003 11.003 109.47 109.47 109.47
Positions (direct):
1 Hg 0.250 0.500 0.750
2 Hg 0.250 0.750 0.500
3 Hg 0.500 0.250 0.750
4 Hg 0.500 0.750 0.250
5 Hg 0.750 0.250 0.500
6 Hg 0.750 0.500 0.250
7 I 0.000 0.511 0.767
8 I 0.000 0.767 0.511
9 I 0.233 0.233 0.744
10 I 0.233 0.744 0.233
11 I 0.256 0.489 0.489
12 I 0.489 0.256 0.489
13 I 0.489 0.489 0.256
14 I 0.511 0.000 0.767
15 I 0.511 0.767 0.000
16 I 0.744 0.233 0.233
17 I 0.767 0.000 0.511
18 I 0.767 0.511 0.000